This entry pairs a crystal structure of Co3Sb5As with its theoretical X-ray diffraction stick pattern. Radiation: λ = 1.5418 Å (Cu Kα). Structure: the PBE geometry in Alexandria.

Crystal structure
Cell lengths 6.3378, 3.3884, 16.5085 Å; angles 90.00, 90.70, 90.00 degrees
Space group P2/m (No. 10)
Unique sites:
1 Co 0.0000 0.0000 0.0000 (multiplicity 1)
2 Co 0.0101 0.0000 0.6755 (multiplicity 2)
3 Co 0.4873 0.5000 0.8308 (multiplicity 2)
4 Co 0.5000 0.5000 0.5000 (multiplicity 1)
5 Sb 0.1380 0.5000 0.1041 (multiplicity 2)
6 Sb 0.1398 0.5000 0.4300 (multiplicity 2)
7 Sb 0.3533 0.0000 0.9323 (multiplicity 2)
8 Sb 0.3553 0.0000 0.2646 (multiplicity 2)
9 Sb 0.3561 0.0000 0.6005 (multiplicity 2)
10 As 0.1426 0.5000 0.7664 (multiplicity 2)

Most intense lines, 10 to 80 degrees two-theta, low angle first:
31.0°, rel. 77
32.4°, rel. 86
32.8°, rel. 88
34.1°, rel. 100
34.2°, rel. 98
44.6°, rel. 47
44.9°, rel. 52
50.9°, rel. 76
54.1°, rel. 38
64.6°, rel. 35